Structure and calculated powder diffractogram of BiTeCl3 (a GGA-PBE-relaxed structure; copper Kα).
No peak broadening, texture or thermal motion is included.

Structure:
Lattice parameters (Å, degrees): 7.3978 8.0371 14.6577 90.00 97.78 90.00
Space group P2/c (No. 13)
Symmetry-distinct sites (fractional):
Bi (0.0693, 0.1551, 0.1157) x4
Te (0.1081, 0.4734, 0.8286) x4
Cl (0.1658, 0.1437, 0.5597) x4
Cl (0.2501, 0.0875, 0.2782) x4
Cl (0.3188, 0.3133, 0.0515) x4

The 10 most intense peaks (2θ = 10–90°), in order of rising 2θ:
| (hkl) | 2θ (°) | I (rel.) |
| --- | --- | --- |
| 1 0 0 | 12.1 | 100.0 |
| 0 1 1 | 12.6 | 29.2 |
| 1 1 1 | 18.0 | 19.5 |
| 1 1 -2 | 19.4 | 29.6 |
| 0 1 3 | 21.4 | 11.1 |
| 0 2 1 | 23.0 | 17.3 |
| 2 1 -2 | 28.0 | 23.7 |
| 1 0 4 | 28.9 | 29.4 |
| 2 1 -3 | 30.6 | 13.8 |
| 1 3 0 | 35.7 | 16.9 |

***

Structure and calculated powder diffractogram of AcLa7Pr2 (a GGA-PBE-relaxed structure; copper Kα).
No peak broadening, texture or thermal motion is included.

Structure:
Lattice parameters (Å, degrees): 6.5081 7.4887 8.3794 77.17 75.12 73.32
Space group P-1 (No. 2)
Symmetry-distinct sites (fractional):
Ac (0.0000, 0.0000, 0.0000) x1
La (0.0000, 0.5000, 0.0000) x1
La (0.2006, 0.7981, 0.5969) x2
La (0.3992, 0.1020, 0.2043) x2
La (0.4061, 0.5969, 0.1990) x2
Pr (0.1995, 0.3031, 0.5981) x2

The 10 most intense peaks (2θ = 10–90°), in order of rising 2θ:
| (hkl) | 2θ (°) | I (rel.) |
| --- | --- | --- |
| 2 0 1 | 29.1 | 100.0 |
| 1 2 2 | 29.2 | 33.2 |
| 2 2 0 | 33.8 | 67.7 |
| 3 0 -1 | 48.5 | 16.4 |
| 3 2 3 | 48.6 | 32.5 |
| 4 2 1 | 57.6 | 24.5 |
| 3 4 2 | 57.7 | 34.0 |
| 0 4 -2 | 60.5 | 8.4 |
| 4 4 0 | 71.1 | 7.8 |
| 3 4 -3 | 81.0 | 7.3 |

***

Structure and calculated powder diffractogram of BaTlCo2Br8 (a GGA-PBE-relaxed structure; copper Kα).
No peak broadening, texture or thermal motion is included.

Structure:
Lattice parameters (Å, degrees): 7.0796 7.0796 29.7989 90.00 90.00 120.00
Space group R-3 (No. 148, hexagonal axes)
Symmetry-distinct sites (fractional):
Ba (0.0000, 0.0000, 0.0000) x3
Tl (0.0000, 0.0000, 0.5000) x3
Co (0.0000, 0.0000, 0.2431) x6
Br (0.0000, 0.0000, 0.1655) x6
Br (0.0046, 0.6241, 0.0643) x18

The 10 most intense peaks (2θ = 10–90°), in order of rising 2θ:
| (hkl) | 2θ (°) | I (rel.) |
| --- | --- | --- |
| 1 0 4 | 18.7 | 61.5 |
| 1 1 0 | 25.2 | 35.3 |
| 2 -1 3 | 26.7 | 98.2 |
| 0 0 9 | 26.9 | 25.2 |
| 0 1 8 | 28.0 | 35.3 |
| 1 1 6 | 31.0 | 100.0 |
| 3 -1 4 | 40.8 | 22.3 |
| 3 0 0 | 44.3 | 50.4 |
| 2 -1 12 | 44.6 | 47.8 |
| 3 0 12 | 58.5 | 19.8 |

***

Structure and calculated powder diffractogram of Nd2GaSnPd6 (a GGA-PBE-relaxed structure; copper Kα).
No peak broadening, texture or thermal motion is included.

Structure:
Lattice parameters (Å, degrees): 11.7932 5.5685 7.9644 90.00 130.29 90.00
Space group C2/m (No. 12)
Symmetry-distinct sites (fractional):
Nd (0.0003, 0.0000, 0.2490) x4
Ga (0.0000, 0.5000, 0.0000) x2
Sn (0.0000, 0.5000, 0.5000) x2
Pd (0.1797, 0.5000, 0.9342) x4
Pd (0.2420, 0.2530, 0.2961) x8

The 10 most intense peaks (2θ = 10–90°), in order of rising 2θ:
| (hkl) | 2θ (°) | I (rel.) |
| --- | --- | --- |
| 1 1 -2 | 29.0 | 53.6 |
| 3 1 -2 | 29.6 | 47.9 |
| 2 0 -3 | 34.9 | 39.6 |
| 4 0 -3 | 35.7 | 57.8 |
| 2 2 0 | 38.0 | 100.0 |
| 2 2 -2 | 39.5 | 61.8 |
| 4 0 0 | 40.1 | 53.5 |
| 1 1 2 | 40.4 | 67.6 |
| 5 1 -2 | 41.7 | 61.0 |
| 4 0 -4 | 45.6 | 39.3 |